Calculated powder diffractogram
Compound: Ba5Cr5O14
Radiation: copper Kα
Structure: DFT lattice parameters and positions (GGA+U)

Structure:
a = 5.830 Å, b = 5.830 Å, c = 12.178 Å
α = 90.00°, β = 90.00°, γ = 120.00°
Element x y z (fractional)
Ba: 0.000 0.000 0.000
Ba: 0.333 0.667 0.423
Ba: 0.333 0.667 0.770
Ba: 0.667 0.333 0.230
Ba: 0.667 0.333 0.577
Cr: 0.000 0.000 0.289
Cr: 0.000 0.000 0.500
Cr: 0.000 0.000 0.711
Cr: 0.333 0.667 0.132
Cr: 0.667 0.333 0.868
O: 0.150 0.300 0.602
O: 0.150 0.850 0.602
O: 0.165 0.331 0.190
O: 0.165 0.835 0.190
O: 0.300 0.150 0.398
O: 0.331 0.165 0.810
O: 0.333 0.667 0.991
O: 0.667 0.333 0.009
O: 0.669 0.835 0.190
O: 0.700 0.850 0.602
O: 0.835 0.165 0.810
O: 0.835 0.669 0.810
O: 0.850 0.150 0.398
O: 0.850 0.700 0.398

Peak list (10 most intense, 2θ = 10–90°, by intensity)
hkl, 2theta, I/Imax
1 1 0, 30.7, 100
0 1 3, 28.2, 81
2 0 3, 42.2, 44
1 2 3, 53.0, 26
2 2 0, 63.9, 21
3 0 0, 54.5, 19
1 0 6, 48.3, 17
0 2 2, 38.6, 14
1 0 2, 22.9, 14
2 1 6, 67.3, 13